1.
The following is a simulated PXRD pattern of Ni2OsSe6. It was derived from a DFT-relaxed cell (PBE, Alexandria), using Cu Kα X-rays.
Neutral-atom scattering factors, no anomalous dispersion.

Largest 10 diffraction maxima, by angle, 15° ≤ 2θ ≤ 90°:
2θ/deg  intensity
19.83  44.3
28.35  69.8
33.52  37.3
34.12  100.0
34.59  38.8
46.59  44.4
47.05  55.7
50.08  52.6
51.38  24.7
71.86  22.2

Crystal structure
abc: 4.9336 6.3626 10.6692
angles: 90.00 90.00 90.00
Atoms (fractional coordinates):
1 Ni 0.0000 0.0000 0.1774
2 Ni 0.0000 0.0000 0.8226
3 Ni 0.5000 0.5000 0.3226
4 Ni 0.5000 0.5000 0.6774
5 Os 0.0000 0.5000 0.0000
6 Os 0.5000 0.0000 0.5000
7 Se 0.2241 0.1894 0.3430
8 Se 0.2241 0.1894 0.6570
9 Se 0.2389 0.6684 0.5000
10 Se 0.2611 0.1684 0.0000
11 Se 0.2759 0.6894 0.1570
12 Se 0.2759 0.6894 0.8430
13 Se 0.7241 0.3106 0.1570
14 Se 0.7241 0.3106 0.8430
15 Se 0.7389 0.8316 0.0000
16 Se 0.7611 0.3316 0.5000
17 Se 0.7759 0.8106 0.3430
18 Se 0.7759 0.8106 0.6570


2.
The following is a simulated PXRD pattern of Si2NiOs2. It was derived from a DFT-relaxed cell (PBE, Alexandria), using Cu Kα X-rays.
Neutral-atom scattering factors, no anomalous dispersion.

Largest 10 diffraction maxima, by angle, 15° ≤ 2θ ≤ 90°:
2θ/deg  intensity
18.19  16.6
28.95  76.9
31.09  40.1
41.41  47.9
43.00  100.0
52.68  30.1
53.13  11.3
72.52  11.9
79.90  13.9
82.45  24.1

Crystal structure
abc: 6.8954 6.8954 2.8763
angles: 90.00 90.00 90.00
Atoms (fractional coordinates):
1 Si 0.1524 0.3476 0.0000
2 Si 0.3476 0.8476 0.0000
3 Si 0.6524 0.1524 0.0000
4 Si 0.8476 0.6524 0.0000
5 Ni 0.0000 0.0000 0.5000
6 Ni 0.5000 0.5000 0.5000
7 Os 0.1465 0.6465 0.5000
8 Os 0.3535 0.1465 0.5000
9 Os 0.6465 0.8535 0.5000
10 Os 0.8535 0.3535 0.5000


3.
The following is a simulated PXRD pattern of ThSi2NiOs. It was derived from a DFT-relaxed cell (PBE, Alexandria), using Cu Kα X-rays.
Neutral-atom scattering factors, no anomalous dispersion.

Largest 10 diffraction maxima, by angle, 15° ≤ 2θ ≤ 90°:
2θ/deg  intensity
23.59  59.9
34.48  41.5
35.33  20.2
35.92  100.0
44.63  34.2
51.09  16.3
57.59  19.6
58.16  19.6
63.80  19.0
76.52  22.6

Crystal structure
abc: 5.8361 5.8361 5.8361
angles: 139.28 139.28 58.95
Atoms (fractional coordinates):
1 Th 0.0000 0.0000 0.0000
2 Si 0.3753 0.3753 0.0000
3 Si 0.6247 0.6247 0.0000
4 Ni 0.2500 0.7500 0.5000
5 Os 0.7500 0.2500 0.5000


4.
The following is a simulated PXRD pattern of TmSi3NiOs. It was derived from a DFT-relaxed cell (PBE, Alexandria), using Cu Kα X-rays.
Neutral-atom scattering factors, no anomalous dispersion.

Largest 10 diffraction maxima, by angle, 15° ≤ 2θ ≤ 90°:
2θ/deg  intensity
17.66  41.5
27.99  94.9
29.11  58.1
31.67  70.3
32.39  91.4
35.69  54.2
40.82  55.8
42.77  100.0
46.68  40.7
48.43  33.5

Crystal structure
abc: 6.1652 6.1652 6.3758
angles: 90.00 90.00 125.45
Atoms (fractional coordinates):
1 Tm 0.2135 0.7865 0.7500
2 Tm 0.7865 0.2135 0.2500
3 Si 0.2227 0.2227 0.0000
4 Si 0.2227 0.2227 0.5000
5 Si 0.3340 0.6660 0.2500
6 Si 0.6660 0.3340 0.7500
7 Si 0.7773 0.7773 0.0000
8 Si 0.7773 0.7773 0.5000
9 Ni 0.4584 0.5416 0.7500
10 Ni 0.5416 0.4584 0.2500
11 Os 0.1180 0.8820 0.2500
12 Os 0.8820 0.1180 0.7500


5.
The following is a simulated PXRD pattern of SrNiOs. It was derived from a DFT-relaxed cell (PBE, Alexandria), using Cu Kα X-rays.
Neutral-atom scattering factors, no anomalous dispersion.

Largest 10 diffraction maxima, by angle, 15° ≤ 2θ ≤ 90°:
2θ/deg  intensity
18.74  28.4
25.41  18.7
31.76  100.0
38.02  20.9
44.78  39.3
48.94  14.1
55.94  20.2
60.15  32.4
64.79  13.0
74.34  17.5

Crystal structure
abc: 4.0481 4.0481 4.7339
angles: 90.00 90.00 120.00
Atoms (fractional coordinates):
1 Sr 0.0000 0.0000 0.0000
2 Ni 0.6667 0.3333 0.5000
3 Os 0.3333 0.6667 0.5000


6.
The following is a simulated PXRD pattern of TaNi4Os. It was derived from a DFT-relaxed cell (PBE, Alexandria), using Cu Kα X-rays.
Neutral-atom scattering factors, no anomalous dispersion.

Largest 10 diffraction maxima, by angle, 15° ≤ 2θ ≤ 90°:
2θ/deg  intensity
23.14  20.0
38.24  71.0
45.18  100.0
47.30  12.8
55.19  1.2
60.64  5.1
69.13  25.5
73.99  30.0
81.86  22.0
86.49  4.4

Crystal structure
abc: 4.7070 4.7070 4.7070
angles: 60.00 60.00 60.00
Atoms (fractional coordinates):
1 Ta 0.0000 0.0000 0.0000
2 Ni 0.1268 0.6244 0.6244
3 Ni 0.6244 0.1268 0.6244
4 Ni 0.6244 0.6244 0.1268
5 Ni 0.6244 0.6244 0.6244
6 Os 0.2500 0.2500 0.2500


Repeat the third record exactly.
The following is a simulated PXRD pattern of ThSi2NiOs. It was derived from a DFT-relaxed cell (PBE, Alexandria), using Cu Kα X-rays.
Neutral-atom scattering factors, no anomalous dispersion.

Largest 10 diffraction maxima, by angle, 15° ≤ 2θ ≤ 90°:
2θ/deg  intensity
23.59  59.9
34.48  41.5
35.33  20.2
35.92  100.0
44.63  34.2
51.09  16.3
57.59  19.6
58.16  19.6
63.80  19.0
76.52  22.6

Crystal structure
abc: 5.8361 5.8361 5.8361
angles: 139.28 139.28 58.95
Atoms (fractional coordinates):
1 Th 0.0000 0.0000 0.0000
2 Si 0.3753 0.3753 0.0000
3 Si 0.6247 0.6247 0.0000
4 Ni 0.2500 0.7500 0.5000
5 Os 0.7500 0.2500 0.5000